# 1
HfZr3Pd: simulated X-ray powder pattern (λ = 1.5418 Å (Cu Kα)), based on DFT lattice parameters and positions (GGA-PBE).

Structure:
a b c (Å): 5.3232 5.3232 18.6161
angles (deg): 90.00 90.00 90.00
Space group I-4m2 (No. 119)
Inequivalent atoms, fractional coordinates:
Hf 0.0000 0.0000 0.1961
Zr 0.0000 0.2489 0.6257
Zr 0.0000 0.5000 0.0610
Pd 0.0000 0.0000 0.5000
Pd 0.0000 0.5000 0.7500

Principal peaks in the range 2θ from 5° to 70°, sorted by position:
- d 5.118, 2θ = 17.33°, intensity 44, hkl 1 0 1
- d 4.040, 2θ = 22.00°, intensity 51, hkl 1 0 3
- d 3.051, 2θ = 29.27°, intensity 47, hkl 1 0 5
- d 2.662, 2θ = 33.67°, intensity 52, hkl 2 0 0
- d 2.559, 2θ = 35.07°, intensity 26, hkl 2 0 2
- d 2.394, 2θ = 37.57°, intensity 33, hkl 1 1 6
- d 2.379, 2θ = 37.82°, intensity 45, hkl 1 0 7
- d 2.223, 2θ = 40.59°, intensity 100, hkl 2 1 3
- d 1.745, 2θ = 52.44°, intensity 23, hkl 2 2 4
- d 1.436, 2θ = 64.92°, intensity 25, hkl 3 2 3

---

# 2
Tb5YTm: simulated X-ray powder pattern (λ = 1.5418 Å (Cu Kα)), based on DFT lattice parameters and positions (GGA-PBE).

Structure:
a b c (Å): 11.7195 6.7208 12.2793
angles (deg): 90.00 111.32 90.00
Space group C2/c (No. 15)
Inequivalent atoms, fractional coordinates:
Tb 0.0000 0.0836 0.2500
Tb 0.0806 0.2370 0.0028
Tb 0.2179 0.1326 0.7422
Y 0.0000 0.4704 0.7500
Tm 0.2500 0.2500 0.5000

Principal peaks in the range 2θ from 5° to 70°, sorted by position:
- d 3.374, 2θ = 26.41°, intensity 13, hkl 3 1 -1
- d 2.961, 2θ = 30.18°, intensity 44, hkl 3 1 -3
- d 2.909, 2θ = 30.73°, intensity 28, hkl 4 0 -2
- d 2.897, 2θ = 30.86°, intensity 37, hkl 0 2 2
- d 2.857, 2θ = 31.31°, intensity 100, hkl 0 0 4
- d 2.659, 2θ = 33.70°, intensity 19, hkl 2 2 1
- d 2.532, 2θ = 35.45°, intensity 18, hkl 2 2 -3
- d 2.474, 2θ = 36.31°, intensity 10, hkl 4 0 -4
- d 1.943, 2θ = 46.76°, intensity 15, hkl 3 3 -1
- d 1.612, 2θ = 57.13°, intensity 12, hkl 0 4 2

---

# 3
Sm4Er9In11: simulated X-ray powder pattern (λ = 1.5418 Å (Cu Kα)), based on DFT lattice parameters and positions (GGA-PBE).

Structure:
a b c (Å): 15.9588 23.3580 3.4677
angles (deg): 90.00 90.00 90.00
Space group Cmmm (No. 65)
Inequivalent atoms, fractional coordinates:
Sm 0.1749 0.0814 0.0000
Er 0.0000 0.0000 0.0000
Er 0.1060 0.4028 0.0000
Er 0.1110 0.2223 0.0000
In 0.0000 0.1213 0.5000
In 0.0000 0.3106 0.5000
In 0.0000 0.5000 0.5000
In 0.1984 0.5000 0.5000
In 0.2240 0.3151 0.5000

Principal peaks in the range 2θ from 5° to 70°, sorted by position:
- d 2.787, 2θ = 32.11°, intensity 75, hkl 4 6 0
- d 2.743, 2θ = 32.65°, intensity 100, hkl 1 5 1
- d 2.635, 2θ = 34.02°, intensity 97, hkl 5 5 0
- d 2.617, 2θ = 34.26°, intensity 86, hkl 4 0 1
- d 2.590, 2θ = 34.63°, intensity 90, hkl 0 6 1
- d 2.336, 2θ = 38.53°, intensity 72, hkl 0 10 0
- d 1.734, 2θ = 52.80°, intensity 28, hkl 0 0 2
- d 1.575, 2θ = 58.61°, intensity 53, hkl 5 11 1
- d 1.496, 2θ = 62.05°, intensity 46, hkl 9 5 1
- d 1.448, 2θ = 64.31°, intensity 31, hkl 5 5 2

---

# 4
AcIn12Ni5: simulated X-ray powder pattern (λ = 1.5418 Å (Cu Kα)), based on DFT lattice parameters and positions (GGA-PBE).

Structure:
a b c (Å): 8.1867 8.9535 10.6100
angles (deg): 90.00 90.00 90.00
Space group Immm (No. 71)
Inequivalent atoms, fractional coordinates:
Ac 0.0000 0.0000 0.0000
In 0.0000 0.3172 0.1750
In 0.1752 0.2675 0.5000
In 0.1890 0.0000 0.2747
Ni 0.0000 0.0000 0.5000
Ni 0.0000 0.5000 0.3798
Ni 0.1695 0.5000 0.0000

Principal peaks in the range 2θ from 5° to 70°, sorted by position:
- d 2.804, 2θ = 31.92°, intensity 20, hkl 1 3 0
- d 2.652, 2θ = 33.79°, intensity 14, hkl 0 0 4
- d 2.643, 2θ = 33.92°, intensity 13, hkl 3 0 1
- d 2.627, 2θ = 34.14°, intensity 100, hkl 2 2 2
- d 2.429, 2θ = 37.01°, intensity 13, hkl 1 1 4
- d 2.352, 2θ = 38.27°, intensity 18, hkl 2 3 1
- d 2.342, 2θ = 38.43°, intensity 38, hkl 3 1 2
- d 2.276, 2θ = 39.60°, intensity 13, hkl 3 2 1
- d 2.238, 2θ = 40.29°, intensity 17, hkl 0 4 0
- d 1.441, 2θ = 64.69°, intensity 14, hkl 3 5 2

---

# 5
CaYGa2Ir: simulated X-ray powder pattern (λ = 1.5418 Å (Cu Kα)), based on DFT lattice parameters and positions (GGA-PBE).

Structure:
a b c (Å): 5.2002 5.2002 5.8595
angles (deg): 90.00 90.00 90.00
Space group P4/mmm (No. 123)
Inequivalent atoms, fractional coordinates:
Ca 0.0000 0.0000 0.0000
Y 0.0000 0.0000 0.5000
Ga 0.0000 0.5000 0.5000
Ir 0.5000 0.5000 0.0000

Principal peaks in the range 2θ from 5° to 70°, sorted by position:
- d 3.889, 2θ = 22.86°, intensity 100, hkl 1 0 1
- d 3.677, 2θ = 24.20°, intensity 24, hkl 1 1 0
- d 3.115, 2θ = 28.66°, intensity 85, hkl 1 1 1
- d 2.930, 2θ = 30.51°, intensity 48, hkl 0 0 2
- d 2.600, 2θ = 34.49°, intensity 69, hkl 2 0 0
- d 2.162, 2θ = 41.79°, intensity 42, hkl 2 1 1
- d 1.945, 2θ = 46.71°, intensity 58, hkl 2 0 2
- d 1.839, 2θ = 49.58°, intensity 24, hkl 2 2 0
- d 1.583, 2θ = 58.28°, intensity 23, hkl 3 1 1
- d 1.557, 2θ = 59.34°, intensity 28, hkl 2 2 2

---

# 6
Ca6SnPb5: simulated X-ray powder pattern (λ = 1.5418 Å (Cu Kα)), based on DFT lattice parameters and positions (GGA-PBE).

Structure:
a b c (Å): 10.5191 15.1969 5.0785
angles (deg): 90.00 118.77 90.00
Space group C2/m (No. 12)
Inequivalent atoms, fractional coordinates:
Ca 0.2438 0.0000 0.2436
Ca 0.2470 0.1656 0.7468
Sn 0.0000 0.0000 0.5000
Pb 0.0000 0.1684 0.0000
Pb 0.0000 0.3354 0.5000
Pb 0.0000 0.5000 0.0000

Principal peaks in the range 2θ from 5° to 70°, sorted by position:
- d 4.610, 2θ = 19.25°, intensity 32, hkl 2 0 0
- d 3.586, 2θ = 24.83°, intensity 36, hkl 1 3 -1
- d 2.831, 2θ = 31.61°, intensity 100, hkl 1 3 1
- d 2.536, 2θ = 35.39°, intensity 37, hkl 2 0 -2
- d 2.305, 2θ = 39.08°, intensity 14, hkl 4 0 0
- d 1.793, 2θ = 50.92°, intensity 13, hkl 2 6 -2
- d 1.516, 2θ = 61.12°, intensity 15, hkl 5 3 -3
- d 1.513, 2θ = 61.24°, intensity 15, hkl 1 9 1
- d 1.415, 2θ = 66.00°, intensity 12, hkl 2 6 2
- d 1.413, 2θ = 66.16°, intensity 12, hkl 5 3 1

---

# 7
GePtO2: simulated X-ray powder pattern (λ = 1.5418 Å (Cu Kα)), based on DFT lattice parameters and positions (GGA-PBE).

Structure:
a b c (Å): 7.7920 5.1448 6.0970
angles (deg): 90.00 121.15 90.00
Space group Cc (No. 9)
Inequivalent atoms, fractional coordinates:
Ge 0.0000 0.2046 0.0000
Pt 0.3720 0.2817 0.7980
O 0.1027 0.4466 0.5444
O 0.2743 0.1086 0.1993

Principal peaks in the range 2θ from 5° to 70°, sorted by position:
- d 3.856, 2θ = 23.07°, intensity 68, hkl 1 1 -1
- d 3.334, 2θ = 26.74°, intensity 57, hkl 2 0 0
- d 2.912, 2θ = 30.70°, intensity 88, hkl 2 0 -2
- d 2.809, 2θ = 31.86°, intensity 100, hkl 1 1 1
- d 2.572, 2θ = 34.88°, intensity 41, hkl 0 2 0
- d 2.308, 2θ = 39.03°, intensity 41, hkl 3 1 -1
- d 2.037, 2θ = 44.48°, intensity 34, hkl 2 2 0
- d 1.928, 2θ = 47.13°, intensity 51, hkl 4 0 -2
- d 1.821, 2θ = 50.10°, intensity 37, hkl 1 1 -3
- d 1.653, 2θ = 55.61°, intensity 30, hkl 3 1 1

---

# 8
NaLaTc: simulated X-ray powder pattern (λ = 1.5418 Å (Cu Kα)), based on DFT lattice parameters and positions (GGA-PBE).

Structure:
a b c (Å): 7.1602 4.1440 13.8262
angles (deg): 90.00 100.11 90.00
Space group C2/m (No. 12)
Inequivalent atoms, fractional coordinates:
Na 0.2007 0.0000 0.1061
La 0.0529 0.0000 0.6540
Tc 0.1752 0.5000 0.5236

Principal peaks in the range 2θ from 5° to 70°, sorted by position:
- d 13.612, 2θ = 6.49°, intensity 100, hkl 0 0 1
- d 3.571, 2θ = 24.94°, intensity 5, hkl 1 1 0
- d 3.054, 2θ = 29.24°, intensity 6, hkl 1 1 2
- d 2.937, 2θ = 30.44°, intensity 11, hkl 1 1 -3
- d 2.927, 2θ = 30.54°, intensity 6, hkl 2 0 2
- d 2.694, 2θ = 33.26°, intensity 4, hkl 2 0 -4
- d 2.581, 2θ = 34.75°, intensity 8, hkl 1 1 -4
- d 2.573, 2θ = 34.87°, intensity 4, hkl 2 0 3
- d 2.069, 2θ = 43.74°, intensity 9, hkl 0 2 0
- d 2.047, 2θ = 44.25°, intensity 4, hkl 3 1 -2

---

# 9
NaGeBi2: simulated X-ray powder pattern (λ = 1.5418 Å (Cu Kα)), based on DFT lattice parameters and positions (GGA-PBE).

Structure:
a b c (Å): 3.9219 3.9219 26.7273
angles (deg): 90.00 90.00 120.00
Space group R3m (No. 160, hexagonal axes)
Inequivalent atoms, fractional coordinates:
Na 0.0000 0.0000 0.0000
Ge 0.0000 0.0000 0.1663
Bi 0.0000 0.0000 0.5715
Bi 0.0000 0.0000 0.7620

Principal peaks in the range 2θ from 5° to 70°, sorted by position:
- d 8.909, 2θ = 9.93°, intensity 38, hkl 0 0 3
- d 4.455, 2θ = 19.93°, intensity 29, hkl 0 0 6
- d 3.369, 2θ = 26.45°, intensity 39, hkl 1 0 1
- d 3.292, 2θ = 27.09°, intensity 27, hkl 0 1 2
- d 3.028, 2θ = 29.50°, intensity 27, hkl 1 0 4
- d 2.867, 2θ = 31.20°, intensity 100, hkl 0 1 5
- d 2.538, 2θ = 35.37°, intensity 25, hkl 1 0 7
- d 2.100, 2θ = 43.07°, intensity 36, hkl 1 0 10
- d 1.961, 2θ = 46.30°, intensity 37, hkl 1 1 0
- d 1.619, 2θ = 56.89°, intensity 19, hkl 2 0 5

---

# 10
LaPr2YHo: simulated X-ray powder pattern (λ = 1.5418 Å (Cu Kα)), based on DFT lattice parameters and positions (GGA-PBE).

Structure:
a b c (Å): 8.1738 6.9457 6.2601
angles (deg): 90.00 91.79 90.00
Space group P2/c (No. 13)
Inequivalent atoms, fractional coordinates:
La 0.0000 0.0000 0.0000
Pr 0.3029 0.3134 0.2390
Y 0.5000 0.1558 0.7500
Ho 0.0000 0.4147 0.7500

Principal peaks in the range 2θ from 5° to 70°, sorted by position:
- d 8.170, 2θ = 10.83°, intensity 37, hkl 1 0 0
- d 3.196, 2θ = 27.92°, intensity 64, hkl 1 2 0
- d 3.129, 2θ = 28.53°, intensity 49, hkl 0 0 2
- d 3.105, 2θ = 28.76°, intensity 76, hkl 2 1 -1
- d 3.034, 2θ = 29.44°, intensity 92, hkl 2 1 1
- d 2.856, 2θ = 31.32°, intensity 100, hkl 0 1 2
- d 2.832, 2θ = 31.59°, intensity 37, hkl 1 2 1
- d 2.721, 2θ = 32.92°, intensity 75, hkl 3 0 0
- d 2.670, 2θ = 33.57°, intensity 38, hkl 1 1 2
- d 2.646, 2θ = 33.88°, intensity 45, hkl 2 2 0

---

# 11
LiPa2Rh8: simulated X-ray powder pattern (λ = 1.5418 Å (Cu Kα)), based on DFT lattice parameters and positions (GGA-PBE).

Structure:
a b c (Å): 4.4747 6.0463 13.1757
angles (deg): 90.00 90.00 90.00
Space group Immm (No. 71)
Inequivalent atoms, fractional coordinates:
Li 0.0000 0.0000 0.0000
Pa 0.0000 0.0000 0.3084
Rh 0.0000 0.2230 0.5000
Rh 0.0000 0.2703 0.1294
Rh 0.0000 0.5000 0.3278

Principal peaks in the range 2θ from 5° to 70°, sorted by position:
- d 6.588, 2θ = 13.44°, intensity 20, hkl 0 0 2
- d 2.748, 2θ = 32.59°, intensity 30, hkl 0 2 2
- d 2.461, 2θ = 36.51°, intensity 13, hkl 1 2 1
- d 2.271, 2θ = 39.69°, intensity 47, hkl 1 0 5
- d 2.237, 2θ = 40.31°, intensity 36, hkl 2 0 0
- d 2.196, 2θ = 41.10°, intensity 12, hkl 0 0 6
- d 2.176, 2θ = 41.50°, intensity 100, hkl 1 2 3
- d 1.735, 2θ = 52.76°, intensity 17, hkl 2 2 2
- d 1.512, 2θ = 61.33°, intensity 9, hkl 0 4 0
- d 1.446, 2θ = 64.42°, intensity 16, hkl 0 2 8

---

# 12
AcLaGa4: simulated X-ray powder pattern (λ = 1.5418 Å (Cu Kα)), based on DFT lattice parameters and positions (GGA-PBE).

Structure:
a b c (Å): 4.4464 4.4464 15.2639
angles (deg): 90.00 90.00 90.00
Space group I-4m2 (No. 119)
Inequivalent atoms, fractional coordinates:
Ac 0.0000 0.0000 0.0000
La 0.0000 0.5000 0.2500
Ga 0.0000 0.0000 0.4149
Ga 0.0000 0.5000 0.6683

Principal peaks in the range 2θ from 5° to 70°, sorted by position:
- d 3.348, 2θ = 26.62°, intensity 39, hkl 1 0 3
- d 2.907, 2θ = 30.76°, intensity 100, hkl 1 1 2
- d 2.517, 2θ = 35.68°, intensity 51, hkl 1 0 5
- d 2.223, 2θ = 40.58°, intensity 40, hkl 2 0 0
- d 1.958, 2θ = 46.38°, intensity 24, hkl 1 0 7
- d 1.852, 2θ = 49.20°, intensity 15, hkl 2 1 3
- d 1.666, 2θ = 55.12°, intensity 29, hkl 2 1 5
- d 1.572, 2θ = 58.73°, intensity 13, hkl 2 2 0
- d 1.469, 2θ = 63.29°, intensity 19, hkl 2 1 7
- d 1.383, 2θ = 67.77°, intensity 21, hkl 3 1 2

---

# 13
Cd4PbAu5: simulated X-ray powder pattern (λ = 1.5418 Å (Cu Kα)), based on DFT lattice parameters and positions (GGA-PBE).

Structure:
a b c (Å): 3.4677 3.4677 17.0339
angles (deg): 90.00 90.00 90.00
Space group P4/mmm (No. 123)
Inequivalent atoms, fractional coordinates:
Cd 0.0000 0.0000 0.0961
Cd 0.0000 0.0000 0.2876
Pb 0.0000 0.0000 0.5000
Au 0.5000 0.5000 0.0000
Au 0.5000 0.5000 0.1918
Au 0.5000 0.5000 0.3817

Principal peaks in the range 2θ from 5° to 70°, sorted by position:
- d 3.468, 2θ = 25.69°, intensity 5, hkl 1 0 0
- d 3.403, 2θ = 26.19°, intensity 3, hkl 0 0 5
- d 2.689, 2θ = 33.32°, intensity 5, hkl 1 0 4
- d 2.452, 2θ = 36.65°, intensity 57, hkl 1 1 0
- d 2.430, 2θ = 36.99°, intensity 100, hkl 1 0 5
- d 2.197, 2θ = 41.09°, intensity 4, hkl 1 0 6
- d 1.734, 2θ = 52.80°, intensity 20, hkl 2 0 0
- d 1.703, 2θ = 53.82°, intensity 6, hkl 0 0 10
- d 1.411, 2θ = 66.21°, intensity 36, hkl 2 1 5
- d 1.399, 2θ = 66.88°, intensity 12, hkl 1 1 10